Computed powder XRD pattern of HfSc5In2 for copper Kα, from the PBE geometry in Alexandria.
Peak positions follow from Bragg's law for the DFT cell and can differ from measured ones.

Peak list (12 most intense, 2θ from 10° to 90°, in order of rising 2θ)
index	2θ (°)	d/Å	I (rel.)
0 2 0	13.93	6.357	9.1
1 1 0	15.57	5.693	14.5
1 2 0	19.74	4.498	10.2
1 1 1	25.24	3.529	14.1
1 2 1	28.05	3.181	8.9
2 0 1	34.53	2.597	100.0
0 0 2	40.09	2.249	49.0
1 5 1	43.25	2.092	6.5
1 6 0	45.07	2.012	5.1
2 4 2	57.99	1.590	31.4
2 0 3	69.28	1.356	35.9
4 0 2	72.83	1.299	10.3

Cell and atoms:
```
HfSc5In2
1.0
6.367 0.000 0.000
0.000 12.714 0.000
0.000 0.000 4.498
Hf Sc In
2 10 4
Cartesian
0.000 0.000 0.000
3.183 6.357 0.000
0.000 6.357 0.000
0.019 3.121 0.000
1.521 11.193 2.249
1.662 4.836 2.249
3.165 9.478 0.000
3.183 0.000 0.000
3.202 3.236 0.000
4.704 7.878 2.249
4.846 1.521 2.249
6.348 9.593 0.000
1.558 7.967 2.249
1.625 1.610 2.249
4.741 11.104 2.249
4.809 4.747 2.249
```